The following is a theoretical PXRD pattern of NaYCdSe3. It was derived from the GGA-PBE geometry in OQMD, using a wavelength of 1.5418 Å.

The 10 most intense peaks (2θ = 10–90°), sorted by position:
12.27°, 7.211 Å, I 100; 26.77°, 3.330 Å, I 21; 30.53°, 2.929 Å, I 33; 30.96°, 2.889 Å, I 50; 31.75°, 2.818 Å, I 14; 33.87°, 2.647 Å, I 29; 35.96°, 2.497 Å, I 17; 42.99°, 2.104 Å, I 22; 43.11°, 2.098 Å, I 41; 45.33°, 2.001 Å, I 20

Cell and atoms:
```
data_NaYCdSe3
_cell_length_a 8.235
_cell_length_b 4.208
_cell_length_c 10.355
_cell_angle_alpha 90.00
_cell_angle_beta 105.26
_cell_angle_gamma 90.00
_symmetry_space_group_name_H-M 'P 1'
_symmetry_Int_Tables_number 1
_symmetry_space_group_name_Hall 'P 1'
loop_
_atom_site_label
_atom_site_type_symbol
_atom_site_fract_x
_atom_site_fract_y
_atom_site_fract_z
_atom_site_occupancy
Na1 Na 0.191 0.250 0.176 1
Na2 Na 0.809 0.750 0.824 1
Y1 Y 0.328 0.750 0.857 1
Y2 Y 0.672 0.250 0.143 1
Cd1 Cd 0.079 0.250 0.607 1
Cd2 Cd 0.921 0.750 0.393 1
Se1 Se 0.084 0.250 0.862 1
Se2 Se 0.252 0.750 0.553 1
Se3 Se 0.436 0.750 0.143 1
Se4 Se 0.564 0.250 0.857 1
Se5 Se 0.748 0.250 0.447 1
Se6 Se 0.916 0.750 0.138 1
```